Diffraction record for PaCr2MoO8. The powder XRD pattern is computed, not measured: it uses a cell relaxed with PBE+U and a wavelength of 1.5418 Å.
Lines closer than 0.1° are merged.

Principal peaks in the range 10° ≤ 2θ ≤ 80°, by angle:
2θ (°), I_rel, h k l
19.66, 44.5, 1 0 1
30.64, 100.0, 1 1 2
31.83, 15.8, 1 0 3
35.62, 16.0, 2 0 0
41.01, 16.3, 2 1 1
51.05, 37.5, 2 0 4
51.26, 18.5, 2 2 0
60.91, 27.2, 3 1 2

Structure:
```
data_PaCr2MoO8
_symmetry_space_group_name_H-M 'I -4'
_symmetry_Int_Tables_number 82
_symmetry_space_group_name_Hall 'I -4'
_cell_length_a 5.041
_cell_length_b 5.041
_cell_length_c 10.161
_cell_angle_alpha 90.00
_cell_angle_beta 90.00
_cell_angle_gamma 90.00
loop_
_atom_site_label
_atom_site_type_symbol
_atom_site_fract_x
_atom_site_fract_y
_atom_site_fract_z
Pa1 Pa 0.000 0.000 0.000
Cr1 Cr 0.000 0.000 0.500
Cr2 Cr 0.000 0.500 0.250
Mo1 Mo 0.000 0.500 0.750
O1 O 0.240 0.247 0.370
O2 O 0.241 0.757 0.371
```